Record 1
Dy3Ni7As4: simulated powder X-ray diffraction pattern (λ = 1.5418 Å (Cu Kα)), based on a structure optimized by DFT (GGA-PBE).
Lines closer than 0.1° are merged.

Structural model:
a = 7.6995 Å, b = 7.6995 Å, c = 8.9931 Å
α = 124.44°, β = 124.44°, γ = 29.82°
Fractional coordinates of all 14 atoms:
Dy (0.0000, 0.0000, 0.0000)
Dy (0.3221, 0.3221, 0.3318)
Dy (0.6779, 0.6779, 0.6682)
Ni (0.0000, 0.0000, 0.5000)
Ni (0.1427, 0.1427, 0.4063)
Ni (0.3110, 0.3110, 0.9720)
Ni (0.4957, 0.4957, 0.7141)
Ni (0.5043, 0.5043, 0.2859)
Ni (0.6890, 0.6890, 0.0280)
Ni (0.8573, 0.8573, 0.5937)
As (0.1126, 0.1126, 0.8288)
As (0.3351, 0.3351, 0.7192)
As (0.6649, 0.6649, 0.2808)
As (0.8874, 0.8874, 0.1712)

Principal peaks in the range 5 to 70 degrees two-theta, by intensity:
| 2θ/deg | I_rel |
| --- | --- |
| 37.90 | 100 |
| 37.34 | 84 |
| 37.63 | 56 |
| 45.81 | 53 |
| 31.70 | 45 |
| 45.08 | 29 |
| 43.93 | 20 |
| 36.98 | 20 |
| 40.12 | 19 |
| 40.87 | 19 |



Record 2
Ca2InSbF: simulated powder X-ray diffraction pattern (λ = 1.5418 Å (Cu Kα)), based on a structure optimized by DFT (GGA-PBE).
Lines closer than 0.1° are merged.

Structural model:
a = 4.9744 Å, b = 4.9744 Å, c = 5.1364 Å
α = 90.00°, β = 90.00°, γ = 90.00°
Fractional coordinates of all 5 atoms:
Ca (0.0000, 0.5000, 0.0000)
Ca (0.5000, 0.0000, 0.0000)
In (0.0000, 0.0000, 0.5000)
Sb (0.5000, 0.5000, 0.5000)
F (0.0000, 0.0000, 0.0000)

Principal peaks in the range 5 to 70 degrees two-theta, by intensity:
| 2θ/deg | I_rel |
| --- | --- |
| 30.81 | 100 |
| 36.11 | 41 |
| 51.12 | 29 |
| 25.32 | 27 |
| 61.67 | 26 |
| 34.94 | 23 |
| 17.26 | 18 |
| 64.18 | 14 |
| 60.10 | 14 |
| 52.00 | 14 |



Record 3
LaNd2Tm12: simulated powder X-ray diffraction pattern (λ = 1.5418 Å (Cu Kα)), based on a structure optimized by DFT (GGA-PBE).
Lines closer than 0.1° are merged.

Structural model:
a = 3.5275 Å, b = 5.5568 Å, c = 24.2925 Å
α = 90.00°, β = 94.15°, γ = 90.00°
Fractional coordinates of all 15 atoms:
La (0.0000, 0.0000, 0.0000)
Nd (0.3623, 0.0000, 0.7256)
Nd (0.6377, 0.0000, 0.2744)
Tm (0.0708, 0.0000, 0.1381)
Tm (0.1020, 0.5000, 0.2024)
Tm (0.1664, 0.5000, 0.3332)
Tm (0.2154, 0.0000, 0.4299)
Tm (0.2762, 0.5000, 0.5538)
Tm (0.4610, 0.5000, 0.9229)
Tm (0.5390, 0.5000, 0.0771)
Tm (0.7238, 0.5000, 0.4462)
Tm (0.7846, 0.0000, 0.5701)
Tm (0.8336, 0.5000, 0.6668)
Tm (0.8980, 0.5000, 0.7976)
Tm (0.9292, 0.0000, 0.8619)

Principal peaks in the range 5 to 70 degrees two-theta, by intensity:
| 2θ/deg | I_rel |
| --- | --- |
| 30.46 | 100 |
| 32.74 | 67 |
| 32.22 | 67 |
| 31.42 | 39 |
| 32.52 | 35 |
| 33.70 | 27 |
| 46.43 | 26 |
| 60.20 | 24 |
| 36.42 | 22 |
| 62.36 | 20 |



Record 4
Ba5SrAu3: simulated powder X-ray diffraction pattern (λ = 1.5418 Å (Cu Kα)), based on a structure optimized by DFT (GGA-PBE).
Lines closer than 0.1° are merged.

Structural model:
a = 7.7739 Å, b = 4.8463 Å, c = 23.3674 Å
α = 90.00°, β = 90.93°, γ = 90.00°
Fractional coordinates of all 18 atoms:
Ba (0.1811, 0.0000, 0.4047)
Ba (0.2235, 0.0000, 0.0631)
Ba (0.2743, 0.5000, 0.8922)
Ba (0.3004, 0.5000, 0.2369)
Ba (0.3152, 0.5000, 0.5725)
Ba (0.6848, 0.5000, 0.4275)
Ba (0.6996, 0.5000, 0.7631)
Ba (0.7257, 0.5000, 0.1078)
Ba (0.7765, 0.0000, 0.9369)
Ba (0.8189, 0.0000, 0.5953)
Sr (0.2015, 0.0000, 0.7317)
Sr (0.7985, 0.0000, 0.2683)
Au (0.0000, 0.5000, 0.0000)
Au (0.0134, 0.5000, 0.6693)
Au (0.4899, 0.0000, 0.8292)
Au (0.5000, 0.0000, 0.5000)
Au (0.5101, 0.0000, 0.1708)
Au (0.9866, 0.5000, 0.3307)

Principal peaks in the range 5 to 70 degrees two-theta, by intensity:
| 2θ/deg | I_rel |
| --- | --- |
| 39.40 | 100 |
| 31.52 | 88 |
| 16.24 | 79 |
| 31.79 | 77 |
| 15.98 | 65 |
| 24.39 | 61 |
| 24.57 | 60 |
| 21.60 | 47 |
| 37.10 | 40 |
| 32.28 | 37 |



Record 5
Mg5Ni4: simulated powder X-ray diffraction pattern (λ = 1.5418 Å (Cu Kα)), based on a structure optimized by DFT (GGA-PBE).
Lines closer than 0.1° are merged.

Structural model:
a = 7.6754 Å, b = 7.6754 Å, c = 5.3679 Å
α = 90.00°, β = 90.00°, γ = 120.00°
Fractional coordinates of all 18 atoms:
Mg (0.0000, 0.2854, 0.2500)
Mg (0.0000, 0.7146, 0.7500)
Mg (0.2854, 0.0000, 0.2500)
Mg (0.2854, 0.2854, 0.7500)
Mg (0.3333, 0.6667, 0.0000)
Mg (0.3333, 0.6667, 0.5000)
Mg (0.6667, 0.3333, 0.0000)
Mg (0.6667, 0.3333, 0.5000)
Mg (0.7146, 0.0000, 0.7500)
Mg (0.7146, 0.7146, 0.2500)
Ni (0.0000, 0.0000, 0.0000)
Ni (0.0000, 0.0000, 0.5000)
Ni (0.0000, 0.3758, 0.7500)
Ni (0.0000, 0.6242, 0.2500)
Ni (0.3758, 0.0000, 0.7500)
Ni (0.3758, 0.3758, 0.2500)
Ni (0.6242, 0.0000, 0.2500)
Ni (0.6242, 0.6242, 0.7500)

Principal peaks in the range 5 to 70 degrees two-theta, by intensity:
| 2θ/deg | I_rel |
| --- | --- |
| 41.04 | 100 |
| 40.72 | 94 |
| 28.59 | 42 |
| 39.61 | 38 |
| 59.19 | 24 |
| 26.82 | 20 |
| 52.48 | 19 |
| 33.38 | 12 |
| 13.32 | 10 |
| 63.87 | 8 |



Record 6
Tb6Dy3Er: simulated powder X-ray diffraction pattern (λ = 1.5418 Å (Cu Kα)), based on a structure optimized by DFT (GGA-PBE).
Lines closer than 0.1° are merged.

Structural model:
a = 10.9374 Å, b = 10.9374 Å, c = 6.1812 Å
α = 90.00°, β = 90.00°, γ = 119.93°
Fractional coordinates of all 20 atoms:
Tb (0.0454, 0.9546, 0.5000)
Tb (0.0471, 0.4672, 0.0543)
Tb (0.2797, 0.7203, 0.7707)
Tb (0.2890, 0.3805, 0.8762)
Tb (0.3805, 0.2890, 0.3762)
Tb (0.4672, 0.0471, 0.5543)
Tb (0.5328, 0.9529, 0.0543)
Tb (0.6195, 0.7110, 0.8762)
Tb (0.7110, 0.6195, 0.3762)
Tb (0.7203, 0.2797, 0.2707)
Tb (0.9529, 0.5328, 0.5543)
Tb (0.9546, 0.0454, 0.0000)
Dy (0.0589, 0.2794, 0.4555)
Dy (0.2794, 0.0589, 0.9555)
Dy (0.3892, 0.6108, 0.3444)
Dy (0.6108, 0.3892, 0.8444)
Dy (0.7206, 0.9411, 0.4555)
Dy (0.9411, 0.7206, 0.9555)
Er (0.2043, 0.7957, 0.2786)
Er (0.7957, 0.2043, 0.7786)

Principal peaks in the range 5 to 70 degrees two-theta, by intensity:
| 2θ/deg | I_rel |
| --- | --- |
| 31.82 | 100 |
| 28.82 | 66 |
| 34.65 | 33 |
| 34.11 | 22 |
| 30.42 | 20 |
| 28.25 | 16 |
| 59.68 | 16 |
| 40.82 | 16 |
| 33.29 | 15 |
| 50.01 | 15 |



Record 7
GaSeF: simulated powder X-ray diffraction pattern (λ = 1.5418 Å (Cu Kα)), based on a structure optimized by DFT (GGA-PBE).
Lines closer than 0.1° are merged.

Structural model:
a = 5.3380 Å, b = 12.4461 Å, c = 3.8355 Å
α = 90.00°, β = 90.00°, γ = 90.00°
Fractional coordinates of all 12 atoms:
Ga (0.0320, 0.1795, 0.0000)
Ga (0.4680, 0.6795, 0.5000)
Ga (0.5320, 0.3205, 0.5000)
Ga (0.9680, 0.8205, 0.0000)
Se (0.1900, 0.6467, 0.0000)
Se (0.3100, 0.1467, 0.5000)
Se (0.6900, 0.8533, 0.5000)
Se (0.8100, 0.3533, 0.0000)
F (0.2111, 0.9209, 0.0000)
F (0.2889, 0.4209, 0.5000)
F (0.7111, 0.5791, 0.5000)
F (0.7889, 0.0791, 0.0000)

Principal peaks in the range 5 to 70 degrees two-theta, by intensity:
| 2θ/deg | I_rel |
| --- | --- |
| 28.67 | 100 |
| 21.94 | 55 |
| 14.23 | 55 |
| 46.91 | 51 |
| 29.56 | 36 |
| 32.14 | 25 |
| 47.41 | 23 |
| 33.33 | 22 |
| 43.81 | 18 |
| 36.06 | 17 |



Record 8
PmSc4Pd3O12: simulated powder X-ray diffraction pattern (λ = 1.5418 Å (Cu Kα)), based on a structure optimized by DFT (GGA-PBE).
Lines closer than 0.1° are merged.

Structural model:
a = 6.7936 Å, b = 6.7936 Å, c = 6.7936 Å
α = 109.47°, β = 109.47°, γ = 109.47°
Fractional coordinates of all 20 atoms:
Pm (0.0000, 0.0000, 0.0000)
Sc (0.0000, 0.0000, 0.5000)
Sc (0.0000, 0.5000, 0.0000)
Sc (0.5000, 0.0000, 0.0000)
Sc (0.5000, 0.5000, 0.5000)
Pd (0.0000, 0.5000, 0.5000)
Pd (0.5000, 0.0000, 0.5000)
Pd (0.5000, 0.5000, 0.0000)
O (0.1349, 0.3015, 0.8335)
O (0.1665, 0.4680, 0.3015)
O (0.1665, 0.8651, 0.6985)
O (0.3015, 0.1665, 0.4680)
O (0.3015, 0.8335, 0.1349)
O (0.4680, 0.3015, 0.1665)
O (0.5320, 0.6985, 0.8335)
O (0.6985, 0.1665, 0.8651)
O (0.6985, 0.8335, 0.5320)
O (0.8335, 0.1349, 0.3015)
O (0.8335, 0.5320, 0.6985)
O (0.8651, 0.6985, 0.1665)

Principal peaks in the range 5 to 70 degrees two-theta, by intensity:
| 2θ/deg | I_rel |
| --- | --- |
| 32.28 | 100 |
| 57.56 | 49 |
| 22.67 | 25 |
| 46.29 | 25 |
| 39.81 | 15 |
| 67.55 | 13 |
| 52.14 | 11 |
| 36.21 | 5 |
| 43.15 | 4 |
| 15.98 | 2 |



Record 9
Sr7Cd2Au2: simulated powder X-ray diffraction pattern (λ = 1.5418 Å (Cu Kα)), based on a structure optimized by DFT (GGA-PBE).
Lines closer than 0.1° are merged.

Structural model:
a = 7.6439 Å, b = 7.6439 Å, c = 7.9137 Å
α = 90.00°, β = 90.00°, γ = 107.48°
Fractional coordinates of all 11 atoms:
Sr (0.0000, 0.0000, 0.0000)
Sr (0.0000, 0.5000, 0.2615)
Sr (0.0000, 0.5000, 0.7385)
Sr (0.5000, 0.0000, 0.2615)
Sr (0.5000, 0.0000, 0.7385)
Sr (0.5000, 0.5000, 0.2485)
Sr (0.5000, 0.5000, 0.7515)
Cd (0.1661, 0.1661, 0.5000)
Cd (0.8339, 0.8339, 0.5000)
Au (0.2896, 0.7104, 0.0000)
Au (0.7104, 0.2896, 0.0000)

Principal peaks in the range 5 to 70 degrees two-theta, by intensity:
| 2θ/deg | I_rel |
| --- | --- |
| 33.42 | 100 |
| 22.65 | 64 |
| 18.24 | 57 |
| 32.95 | 54 |
| 28.97 | 51 |
| 38.76 | 28 |
| 30.01 | 24 |
| 39.56 | 23 |
| 25.61 | 20 |
| 11.18 | 19 |



Record 10
CrFeNi2: simulated powder X-ray diffraction pattern (λ = 1.5418 Å (Cu Kα)), based on a structure optimized by DFT (GGA-PBE).
Lines closer than 0.1° are merged.

Structural model:
a = 2.4719 Å, b = 4.0599 Å, c = 4.4245 Å
α = 90.00°, β = 90.00°, γ = 90.00°
Fractional coordinates of all 4 atoms:
Cr (0.0000, 0.0000, 0.0000)
Fe (0.0000, 0.5000, 0.6818)
Ni (0.5000, 0.0000, 0.4969)
Ni (0.5000, 0.5000, 0.1819)

Principal peaks in the range 5 to 70 degrees two-theta, by intensity:
| 2θ/deg | I_rel |
| --- | --- |
| 47.73 | 100 |
| 46.76 | 63 |
| 44.64 | 44 |
| 41.86 | 32 |
| 62.85 | 17 |
| 40.79 | 10 |
| 62.05 | 5 |
| 29.87 | 1 |
| 20.07 | 1 |



Copy entry 5 word for word.
Mg5Ni4: simulated powder X-ray diffraction pattern (λ = 1.5418 Å (Cu Kα)), based on a structure optimized by DFT (GGA-PBE).
Lines closer than 0.1° are merged.

Structural model:
a = 7.6754 Å, b = 7.6754 Å, c = 5.3679 Å
α = 90.00°, β = 90.00°, γ = 120.00°
Fractional coordinates of all 18 atoms:
Mg (0.0000, 0.2854, 0.2500)
Mg (0.0000, 0.7146, 0.7500)
Mg (0.2854, 0.0000, 0.2500)
Mg (0.2854, 0.2854, 0.7500)
Mg (0.3333, 0.6667, 0.0000)
Mg (0.3333, 0.6667, 0.5000)
Mg (0.6667, 0.3333, 0.0000)
Mg (0.6667, 0.3333, 0.5000)
Mg (0.7146, 0.0000, 0.7500)
Mg (0.7146, 0.7146, 0.2500)
Ni (0.0000, 0.0000, 0.0000)
Ni (0.0000, 0.0000, 0.5000)
Ni (0.0000, 0.3758, 0.7500)
Ni (0.0000, 0.6242, 0.2500)
Ni (0.3758, 0.0000, 0.7500)
Ni (0.3758, 0.3758, 0.2500)
Ni (0.6242, 0.0000, 0.2500)
Ni (0.6242, 0.6242, 0.7500)

Principal peaks in the range 5 to 70 degrees two-theta, by intensity:
| 2θ/deg | I_rel |
| --- | --- |
| 41.04 | 100 |
| 40.72 | 94 |
| 28.59 | 42 |
| 39.61 | 38 |
| 59.19 | 24 |
| 26.82 | 20 |
| 52.48 | 19 |
| 33.38 | 12 |
| 13.32 | 10 |
| 63.87 | 8 |



Q: Which formula does entry 6 have?
A: Tb6Dy3Er